# 1
The following is a calculated powder X-ray diffraction pattern of MgCr4O8. It was derived from DFT lattice parameters and positions (GGA+U), using Cu Kα X-rays.

Top 10 peaks for 2θ = 15–90°, low angle first:
2theta	d/Å	I_rel	(hkl)
24.4	3.642	100	1 1 0
30.4	2.945	72	1 1 -1
30.5	2.930	70	1 1 1
36.2	2.484	31	0 0 2
36.9	2.438	54	0 2 1
52.9	1.731	29	2 0 -2
53.3	1.720	24	2 0 2
53.5	1.713	46	2 2 -1
53.7	1.707	53	2 2 1
65.5	1.425	44	0 2 3

Structural model:
Unit cell a=4.797 b=5.595 c=4.969 alpha=90.00 beta=90.40 gamma=90.00
Space group P2 (No. 3)
Symmetry-distinct sites (fractional):
Mg 0.000 0.000 0.000 [1 per cell]
Cr 0.000 0.255 0.500 [1 per cell]
Cr 0.000 0.528 0.000 [1 per cell]
Cr 0.500 0.042 0.000 [1 per cell]
Cr 0.500 0.745 0.500 [1 per cell]
O 0.217 0.509 0.664 [2 per cell]
O 0.222 0.269 0.167 [2 per cell]
O 0.258 0.014 0.670 [2 per cell]
O 0.270 0.776 0.162 [2 per cell]


# 2
The following is a calculated powder X-ray diffraction pattern of MgCr2O6. It was derived from DFT lattice parameters and positions (GGA+U), using Cu Kα X-rays.

Top 10 peaks for 2θ = 15–90°, low angle first:
2theta	d/Å	I_rel	(hkl)
17.6	5.035	71	0 1 0
17.9	4.958	100	1 0 0
19.3	4.601	33	1 1 0
23.4	3.809	46	1 0 1
23.5	3.789	92	0 1 1
24.1	3.695	31	1 1 1
24.2	3.672	48	0 1 -1
26.2	3.407	54	1 1 -1
32.3	2.775	34	0 0 2
33.1	2.708	27	2 1 0

Structural model:
Unit cell a=5.454 b=5.532 c=5.570 alpha=86.53 beta=85.54 gamma=65.60
Space group P1 (No. 1)
Symmetry-distinct sites (fractional):
Mg 0.000 0.000 0.000 [1 per cell]
Cr 0.354 0.334 0.832 [1 per cell]
Cr 0.478 0.968 0.345 [1 per cell]
O 0.135 0.648 0.862 [1 per cell]
O 0.276 0.130 0.074 [1 per cell]
O 0.281 0.180 0.590 [1 per cell]
O 0.459 0.684 0.372 [1 per cell]
O 0.681 0.259 0.835 [1 per cell]
O 0.782 0.971 0.292 [1 per cell]


# 3
The following is a calculated powder X-ray diffraction pattern of MgCr4O8. It was derived from DFT lattice parameters and positions (GGA+U), using Cu Kα X-rays.

Top 10 peaks for 2θ = 15–90°, low angle first:
2theta	d/Å	I_rel	(hkl)
18.2	4.879	77	0 0 1
18.3	4.846	50	1 1 0
21.1	4.203	65	1 1 -1
35.4	2.538	74	4 0 -1
35.5	2.529	100	2 2 -1
42.9	2.108	32	4 0 0
43.1	2.099	61	2 2 -2
57.0	1.615	31	3 3 -2
62.3	1.491	33	2 2 2
62.6	1.484	33	6 2 -2

Structural model:
Unit cell a=10.287 b=5.922 c=5.951 alpha=90.00 beta=124.93 gamma=90.00
Space group Cm (No. 8)
Symmetry-distinct sites (fractional):
Mg 0.000 0.000 0.000 [2 per cell]
Cr 0.257 0.260 0.509 [4 per cell]
Cr 0.381 0.000 0.138 [2 per cell]
Cr 0.499 0.500 0.522 [2 per cell]
O 0.011 0.241 0.266 [4 per cell]
O 0.250 0.000 0.260 [2 per cell]
O 0.251 0.000 0.747 [2 per cell]
O 0.263 0.500 0.728 [2 per cell]
O 0.270 0.500 0.297 [2 per cell]
O 0.488 0.275 0.715 [4 per cell]


# 4
The following is a calculated powder X-ray diffraction pattern of MgCr2O6. It was derived from DFT lattice parameters and positions (GGA+U), using Cu Kα X-rays.

Top 10 peaks for 2θ = 15–90°, low angle first:
2theta	d/Å	I_rel	(hkl)
21.6	4.106	19	1 0 1
24.5	3.635	100	0 1 1
24.9	3.578	43	2 0 0
34.0	2.639	19	0 2 0
35.2	2.550	72	2 1 1
35.8	2.507	16	0 0 2
41.9	2.156	20	3 0 1
50.2	1.817	29	0 2 2
56.8	1.620	20	2 2 2
64.0	1.456	33	2 1 3

Structural model:
Unit cell a=7.157 b=5.277 c=5.014 alpha=90.00 beta=90.00 gamma=90.00
Space group Pmn2_1 (No. 31)
Symmetry-distinct sites (fractional):
Mg 0.000 0.174 0.000 [2 per cell]
Cr 0.239 0.733 0.003 [4 per cell]
O 0.000 0.271 0.608 [2 per cell]
O 0.000 0.771 0.862 [2 per cell]
O 0.186 0.441 0.156 [4 per cell]
O 0.193 0.965 0.244 [4 per cell]